This entry pairs a crystal structure of Li2AlVO4 with its theoretical powder diffractogram. Radiation: Cu Kα (λ = 1.5418 Å). Structure: a structure optimized by DFT (PBE+U).

Most intense lines, 15 to 90 degrees two-theta, by intensity:
2θ (°), I (rel.)
18.33, 100
43.19, 33
43.67, 32
43.99, 31
63.23, 17
62.95, 17

Atomic structure:
abc: 7.7549 7.7735 7.8100
angles: 98.05 95.26 111.30
Atoms (fractional coordinates):
Li: 0.0000 0.0000 0.0000
Li: 0.9997 0.2393 0.7583
Li: 0.0000 0.4994 0.5003
Li: 0.9996 0.7397 0.2583
Li: 0.3334 0.3265 0.0046
Li: 0.3345 0.5688 0.7628
Li: 0.3335 0.8270 0.5043
Li: 0.3346 0.0684 0.2630
Li: 0.6615 0.1515 0.5105
Li: 0.6615 0.6516 0.0111
Li: 0.6722 0.4155 0.2521
Li: 0.6722 0.9155 0.7527
Al: 0.9997 0.8692 0.6267
Al: 0.3340 0.1985 0.6366
Al: 0.3351 0.6985 0.1364
Al: 0.6670 0.2838 0.8820
Al: 0.6669 0.7836 0.3819
Al: 0.9991 0.3689 0.1266
V: 0.0024 0.1196 0.3822
V: 0.0022 0.6192 0.8820
V: 0.3315 0.4478 0.3808
V: 0.3318 0.9478 0.8807
V: 0.6666 0.0332 0.1315
V: 0.6667 0.5333 0.6316
O: 0.1539 0.2314 0.1934
O: 0.1547 0.7321 0.6930
O: 0.1644 0.4826 0.9658
O: 0.1648 0.9824 0.4654
O: 0.1684 0.0854 0.7969
O: 0.1692 0.5851 0.2968
O: 0.1797 0.3362 0.5695
O: 0.1809 0.8366 0.0687
O: 0.4868 0.3019 0.4605
O: 0.4879 0.8012 0.9608
O: 0.4975 0.0726 0.7073
O: 0.4983 0.5725 0.2070
O: 0.5029 0.4076 0.8118
O: 0.5027 0.9076 0.3123
O: 0.5117 0.1770 0.0550
O: 0.5116 0.6772 0.5550
O: 0.8223 0.3898 0.7088
O: 0.8223 0.8899 0.2090
O: 0.8308 0.1594 0.9510
O: 0.8308 0.6593 0.4517
O: 0.8354 0.4946 0.0566
O: 0.8356 0.9944 0.5563
O: 0.8469 0.2653 0.3024
O: 0.8476 0.7649 0.8029

This entry pairs a crystal structure of Li2AlVO4 with its theoretical powder diffractogram. Radiation: Cu Kα (λ = 1.5418 Å). Structure: a structure optimized by DFT (PBE+U).

Most intense lines, 15 to 90 degrees two-theta, by intensity:
2θ (°), I (rel.)
22.53, 100
32.14, 98
35.98, 84
21.15, 80
57.53, 56
36.96, 53

Atomic structure:
abc: 11.0795 6.4435 4.9927
angles: 90.00 90.00 90.00
Atoms (fractional coordinates):
Li: 0.0879 0.2486 0.0000
Li: 0.1690 0.9966 0.4987
Li: 0.3310 0.4966 0.9987
Li: 0.4121 0.7486 0.5000
Li: 0.5879 0.2514 0.0000
Li: 0.6690 0.5034 0.4987
Li: 0.8310 0.0034 0.9987
Li: 0.9121 0.7514 0.5000
Al: 0.1680 0.4948 0.5062
Al: 0.3320 0.9948 0.0062
Al: 0.6680 0.0052 0.5062
Al: 0.8320 0.5052 0.0062
V: 0.0826 0.7456 0.9992
V: 0.4174 0.2456 0.4992
V: 0.5826 0.7544 0.9992
V: 0.9174 0.2544 0.4992
O: 0.0871 0.2663 0.4043
O: 0.0926 0.7245 0.3918
O: 0.1645 0.5040 0.8643
O: 0.1777 0.9874 0.9025
O: 0.3223 0.4874 0.4025
O: 0.3355 0.0040 0.3643
O: 0.4074 0.2245 0.8918
O: 0.4129 0.7663 0.9043
O: 0.5871 0.2337 0.4043
O: 0.5926 0.7755 0.3918
O: 0.6645 0.9960 0.8643
O: 0.6777 0.5126 0.9025
O: 0.8223 0.0126 0.4025
O: 0.8355 0.4960 0.3643
O: 0.9074 0.2755 0.8918
O: 0.9129 0.7337 0.9043

This entry pairs a crystal structure of Li2AlVO4 with its theoretical powder diffractogram. Radiation: Cu Kα (λ = 1.5418 Å). Structure: a structure optimized by DFT (PBE+U).

Most intense lines, 15 to 90 degrees two-theta, by intensity:
2θ (°), I (rel.)
21.53, 100
33.26, 60
32.45, 57
58.93, 40
26.98, 16
23.62, 15

Atomic structure:
abc: 5.3882 5.3882 6.4243
angles: 90.00 90.00 91.31
Atoms (fractional coordinates):
Li: 0.1882 0.8118 0.7500
Li: 0.3178 0.3178 0.0000
Li: 0.6822 0.6822 0.5000
Li: 0.8118 0.1882 0.2500
Al: 0.3252 0.3252 0.5000
Al: 0.6748 0.6748 0.0000
V: 0.1761 0.8239 0.2500
V: 0.8239 0.1761 0.7500
O: 0.1851 0.1959 0.7272
O: 0.1959 0.1851 0.2728
O: 0.2972 0.6552 0.4915
O: 0.3448 0.7028 0.0085
O: 0.6552 0.2972 0.5085
O: 0.7028 0.3448 0.9915
O: 0.8041 0.8149 0.7728
O: 0.8149 0.8041 0.2272

This entry pairs a crystal structure of LiAl2V4O8 with its theoretical powder diffractogram. Radiation: Cu Kα (λ = 1.5418 Å). Structure: a structure optimized by DFT (PBE+U).

Most intense lines, 15 to 90 degrees two-theta, by intensity:
2θ (°), I (rel.)
42.52, 100
18.31, 74
43.32, 47
37.09, 27
61.64, 26
62.99, 26

Atomic structure:
abc: 5.9032 5.9032 6.0855
angles: 119.71 119.71 60.49
Atoms (fractional coordinates):
Li: 0.0000 0.0000 0.0000
Al: 0.0000 0.5000 0.0000
Al: 0.5000 0.0000 0.0000
V: 0.0000 0.5000 0.5000
V: 0.5000 0.0000 0.5000
V: 0.5000 0.5000 0.0000
V: 0.5000 0.5000 0.5000
O: 0.2440 0.7170 0.2157
O: 0.2467 0.2467 0.2200
O: 0.2532 0.2532 0.7807
O: 0.2830 0.7560 0.7843
O: 0.7170 0.2440 0.2157
O: 0.7468 0.7468 0.2193
O: 0.7533 0.7533 0.7800
O: 0.7560 0.2830 0.7843

This entry pairs a crystal structure of Li2AlVO4 with its theoretical powder diffractogram. Radiation: Cu Kα (λ = 1.5418 Å). Structure: a structure optimized by DFT (PBE+U).

Most intense lines, 15 to 90 degrees two-theta, by intensity:
2θ (°), I (rel.)
22.53, 100
21.08, 85
31.99, 72
36.11, 62
57.34, 49
36.86, 39

Atomic structure:
abc: 4.9750 5.5513 8.1652
angles: 90.00 127.49 90.00
Atoms (fractional coordinates):
Li: 0.0000 0.1588 0.0000
Li: 0.0000 0.8412 0.5000
Li: 0.7478 0.3244 0.2470
Li: 0.7478 0.6756 0.7470
Al: 0.5065 0.1679 0.4981
Al: 0.5065 0.8321 0.9981
V: 0.2544 0.3353 0.7534
V: 0.2544 0.6647 0.2534
O: 0.1770 0.3274 0.2719
O: 0.1770 0.6726 0.7719
O: 0.3963 0.1392 0.9900
O: 0.3963 0.8608 0.4900
O: 0.6204 0.3177 0.7263
O: 0.6204 0.6823 0.2263
O: 0.8743 0.1816 0.5066
O: 0.8743 0.8184 0.0066

This entry pairs a crystal structure of LiAl2V4O8 with its theoretical powder diffractogram. Radiation: Cu Kα (λ = 1.5418 Å). Structure: a structure optimized by DFT (PBE+U).

Most intense lines, 15 to 90 degrees two-theta, by intensity:
2θ (°), I (rel.)
17.78, 100
45.90, 95
41.37, 68
61.89, 66
39.63, 66
36.08, 57

Atomic structure:
abc: 5.7711 6.0001 6.0538
angles: 60.74 84.02 61.29
Atoms (fractional coordinates):
Li: 0.0000 0.0000 0.0000
Al: 0.0083 0.4889 0.0521
Al: 0.5244 0.4337 0.0731
V: 0.0478 0.6739 0.5223
V: 0.4924 0.9491 0.5680
V: 0.5162 0.9182 0.0804
V: 0.6076 0.3814 0.5944
O: 0.2494 0.4256 0.3014
O: 0.3051 0.8553 0.3671
O: 0.3077 0.3859 0.8861
O: 0.3278 0.8417 0.8955
O: 0.7158 0.0163 0.2460
O: 0.7572 0.4552 0.2546
O: 0.7972 0.4537 0.8233
O: 0.7982 0.9002 0.8270

This entry pairs a crystal structure of Mg6MnAlO8 with its theoretical powder diffractogram. Radiation: Cu Kα (λ = 1.5418 Å). Structure: a structure optimized by DFT (PBE+U).

Most intense lines, 15 to 90 degrees two-theta, by intensity:
2θ (°), I (rel.)
41.67, 100
60.72, 55
42.10, 48
60.39, 28
36.00, 26
76.35, 25

Atomic structure:
abc: 4.3354 4.3354 8.5852
angles: 90.00 90.00 90.00
Atoms (fractional coordinates):
Mg: 0.0000 0.0000 0.0000
Mg: 0.0000 0.5000 0.2480
Mg: 0.0000 0.5000 0.7520
Mg: 0.5000 0.0000 0.2480
Mg: 0.5000 0.0000 0.7520
Mg: 0.5000 0.5000 0.0000
Mn: 0.0000 0.0000 0.5000
Al: 0.5000 0.5000 0.5000
O: 0.0000 0.0000 0.2405
O: 0.0000 0.0000 0.7595
O: 0.0000 0.5000 0.0000
O: 0.0000 0.5000 0.5000
O: 0.5000 0.0000 0.0000
O: 0.5000 0.0000 0.5000
O: 0.5000 0.5000 0.2584
O: 0.5000 0.5000 0.7416

This entry pairs a crystal structure of Mg6MnAlO8 with its theoretical powder diffractogram. Radiation: Cu Kα (λ = 1.5418 Å). Structure: a structure optimized by DFT (PBE+U).

Most intense lines, 15 to 90 degrees two-theta, by intensity:
2θ (°), I (rel.)
41.78, 100
60.32, 55
41.46, 48
60.57, 28
35.89, 27
76.07, 25

Atomic structure:
abc: 4.3235 4.3235 8.7124
angles: 90.00 90.00 90.00
Atoms (fractional coordinates):
Mg: 0.0000 0.0000 0.0000
Mg: 0.0000 0.0000 0.5000
Mg: 0.0000 0.5000 0.2477
Mg: 0.0000 0.5000 0.7523
Mg: 0.5000 0.0000 0.2477
Mg: 0.5000 0.0000 0.7523
Mn: 0.5000 0.5000 0.5000
Al: 0.5000 0.5000 0.0000
O: 0.0000 0.0000 0.2480
O: 0.0000 0.0000 0.7520
O: 0.0000 0.5000 0.0000
O: 0.0000 0.5000 0.5000
O: 0.5000 0.0000 0.0000
O: 0.5000 0.0000 0.5000
O: 0.5000 0.5000 0.2162
O: 0.5000 0.5000 0.7838

This entry pairs a crystal structure of MgAlTlMo2O8 with its theoretical powder diffractogram. Radiation: Cu Kα (λ = 1.5418 Å). Structure: a structure optimized by DFT (PBE+U).

Most intense lines, 15 to 90 degrees two-theta, by intensity:
2θ (°), I (rel.)
20.52, 100
31.06, 56
27.19, 41
37.48, 34
35.80, 30
17.78, 29

Atomic structure:
abc: 5.7591 5.7591 8.7054
angles: 90.00 90.00 120.00
Atoms (fractional coordinates):
Mg: 0.0000 0.0000 0.0000
Al: 0.0000 0.0000 0.2881
Tl: 0.0000 0.0000 0.6642
Mo: 0.3333 0.6667 0.0828
Mo: 0.6667 0.3333 0.4798
O: 0.1473 0.2946 0.1510
O: 0.1473 0.8527 0.1510
O: 0.3095 0.1547 0.4264
O: 0.3333 0.6667 0.8724
O: 0.6667 0.3333 0.6807
O: 0.7054 0.8527 0.1510
O: 0.8453 0.1547 0.4264
O: 0.8453 0.6905 0.4264

This entry pairs a crystal structure of MgAlTlMo2O8 with its theoretical powder diffractogram. Radiation: Cu Kα (λ = 1.5418 Å). Structure: a structure optimized by DFT (PBE+U).

Most intense lines, 15 to 90 degrees two-theta, by intensity:
2θ (°), I (rel.)
22.41, 100
32.17, 97
31.62, 90
34.70, 53
45.73, 46
57.01, 35

Atomic structure:
abc: 5.5645 5.5645 6.9911
angles: 90.00 90.00 120.00
Atoms (fractional coordinates):
Mg: 0.0000 0.0000 0.0000
Al: 0.6667 0.3333 0.8450
Tl: 0.6667 0.3333 0.3121
Mo: 0.0000 0.0000 0.5561
Mo: 0.3333 0.6667 0.1341
O: 0.0000 0.0000 0.2895
O: 0.3333 0.6667 0.3922
O: 0.3335 0.1668 0.6701
O: 0.5086 0.0172 0.9881
O: 0.5086 0.4914 0.9881
O: 0.8332 0.1668 0.6701
O: 0.8332 0.6665 0.6701
O: 0.9828 0.4914 0.9881

Question: What is the formula in the sixth record?
Answer: LiAl2V4O8